No. 1
TbDy2TeO8: simulated XRD peak list (Cu Kα), based on the PBE geometry in Alexandria.
Intensities are scaled so that the largest is 100.

Cell and atoms:
```
data_TbDy2TeO8
_space_group_name_H-M_alt 'C m m m'
_space_group_IT_number 65
_space_group_name_Hall '-C 2 2'
_cell_length_a 7.074
_cell_length_b 7.174
_cell_length_c 6.891
_cell_angle_alpha 90.00
_cell_angle_beta 90.00
_cell_angle_gamma 90.00
loop_
_atom_site_label
_atom_site_type_symbol
_atom_site_fract_x
_atom_site_fract_y
_atom_site_fract_z
Tb1 Tb 0.000 0.000 0.000
Dy1 Dy 0.000 0.500 0.253
Te1 Te 0.000 0.000 0.500
O1 O 0.000 0.183 0.289
O2 O 0.190 0.500 0.000
O3 O 0.225 0.500 0.500
```

Principal peaks in the range 2θ from 5° to 70°, in order of falling intensity:
| 2θ (°) | I_rel |
| --- | --- |
| 31.5 | 100.0 |
| 24.8 | 57.5 |
| 25.2 | 53.3 |
| 48.1 | 40.0 |
| 48.5 | 37.2 |
| 35.6 | 28.9 |
| 61.4 | 22.0 |
| 65.7 | 11.3 |
| 59.5 | 10.5 |
| 58.2 | 9.7 |
| 51.7 | 9.3 |
| 59.7 | 8.9 |

No. 2
TbDyTeO2: simulated XRD peak list (Cu Kα), based on the PBE geometry in Alexandria.
Intensities are scaled so that the largest is 100.

Cell and atoms:
```
data_TbDyTeO2
_space_group_name_H-M_alt 'P 1 21/m 1'
_space_group_IT_number 11
_cell_length_a 6.806
_cell_length_b 4.081
_cell_length_c 7.775
_cell_angle_alpha 90.00
_cell_angle_beta 106.24
_cell_angle_gamma 90.00
loop_
_space_group_symop_operation_xyz
'x,y,z'
'-x,-y,-z'
'-x,y+1/2,-z'
'x,-y+1/2,z'
loop_
_atom_site_label
_atom_site_type_symbol
_atom_site_fract_x
_atom_site_fract_y
_atom_site_fract_z
Tb1 Tb 0.165 0.250 0.411
Dy1 Dy 0.166 0.250 0.921
Te1 Te 0.452 0.750 0.238
O1 O 0.005 0.750 0.377
O2 O 0.019 0.750 0.878
```

Principal peaks in the range 2θ from 5° to 70°, in order of falling intensity:
| 2θ (°) | I_rel |
| --- | --- |
| 32.5 | 100.0 |
| 30.7 | 80.5 |
| 30.9 | 79.5 |
| 25.7 | 74.2 |
| 35.2 | 70.6 |
| 41.5 | 35.1 |
| 44.4 | 35.1 |
| 55.0 | 31.2 |
| 55.1 | 31.2 |
| 46.7 | 29.9 |
| 59.3 | 22.7 |
| 59.5 | 22.3 |

No. 3
Tb3DyTl2O: simulated XRD peak list (Cu Kα), based on the PBE geometry in Alexandria.
Intensities are scaled so that the largest is 100.

Cell and atoms:
```
data_Tb3DyTl2O
_space_group_name_H-M_alt 'I m m m'
_space_group_IT_number 71
_space_group_name_Hall '-I 2 2'
_cell_length_a 4.644
_cell_length_b 4.665
_cell_length_c 16.507
_cell_angle_alpha 90.00
_cell_angle_beta 90.00
_cell_angle_gamma 90.00
loop_
_atom_site_label
_atom_site_type_symbol
_atom_site_fract_x
_atom_site_fract_y
_atom_site_fract_z
Tb1 Tb 0.000 0.000 0.000
Tb2 Tb 0.000 0.500 0.171
Dy1 Dy 0.000 0.000 0.500
Tl1 Tl 0.000 0.500 0.361
O1 O 0.000 0.500 0.000
```

Principal peaks in the range 2θ from 5° to 70°, in order of falling intensity:
| 2θ (°) | I_rel |
| --- | --- |
| 34.9 | 100.0 |
| 29.2 | 73.9 |
| 32.5 | 33.9 |
| 38.6 | 32.6 |
| 38.8 | 32.2 |
| 27.1 | 25.7 |
| 55.9 | 22.4 |
| 33.3 | 21.2 |
| 51.4 | 18.8 |
| 51.5 | 18.7 |
| 66.2 | 17.6 |
| 63.0 | 16.0 |

No. 4
Tb2DyUO8: simulated XRD peak list (Cu Kα), based on the PBE geometry in Alexandria.
Intensities are scaled so that the largest is 100.

Cell and atoms:
```
data_Tb2DyUO8
_space_group_name_H-M_alt 'P m m m'
_space_group_IT_number 47
_cell_length_a 3.866
_cell_length_b 5.350
_cell_length_c 7.552
_cell_angle_alpha 90.00
_cell_angle_beta 90.00
_cell_angle_gamma 90.00
loop_
_space_group_symop_operation_xyz
'x,y,z'
'-x,-y,-z'
'-x,-y,z'
'x,y,-z'
'x,-y,-z'
'-x,y,z'
'-x,y,-z'
'x,-y,z'
loop_
_atom_site_label
_atom_site_type_symbol
_atom_site_fract_x
_atom_site_fract_y
_atom_site_fract_z
Tb1 Tb 0.000 0.000 0.250
Dy1 Dy 0.500 0.500 0.000
U1 U 0.500 0.500 0.500
O1 O 0.000 0.251 0.000
O2 O 0.000 0.269 0.500
O3 O 0.500 0.260 0.272
```

Principal peaks in the range 2θ from 5° to 70°, in order of falling intensity:
| 2θ (°) | I_rel |
| --- | --- |
| 28.5 | 100.0 |
| 28.9 | 96.0 |
| 47.9 | 66.2 |
| 33.2 | 44.3 |
| 56.9 | 44.0 |
| 56.1 | 30.6 |
| 33.5 | 21.5 |
| 47.0 | 17.6 |
| 48.2 | 16.0 |
| 57.1 | 14.5 |
| 69.6 | 10.3 |
| 58.9 | 9.6 |